Calculated powder X-ray diffraction pattern of KRh4Se8 for CuKα, from a crystal structure in Alexandria, relaxed with GGA-PBE.
Intensities are scaled so that the largest is 100.

Structural model:
```
data_KRh4Se8
_cell_length_a 9.0660
_cell_length_b 9.0660
_cell_length_c 9.0660
_cell_angle_alpha 47.34
_cell_angle_beta 47.34
_cell_angle_gamma 47.34
_symmetry_space_group_name_H-M 'P 1'
_symmetry_Int_Tables_number 1
loop_
_symmetry_equiv_pos_as_xyz
'x,y,z'
loop_
_atom_site_label
_atom_site_fract_x
_atom_site_fract_y
_atom_site_fract_z
K1 0.0000 0.0000 0.0000
Rh1 0.0000 0.0000 0.5000
Rh2 0.0000 0.5000 0.0000
Rh3 0.5000 0.0000 0.0000
Rh4 0.5000 0.5000 0.5000
Se1 0.2234 0.2234 0.2234
Se2 0.2241 0.7227 0.7227
Se3 0.2773 0.2773 0.7759
Se4 0.2773 0.7759 0.2773
Se5 0.7227 0.2241 0.7227
Se6 0.7227 0.7227 0.2241
Se7 0.7759 0.2773 0.2773
Se8 0.7766 0.7766 0.7766
```

The 8 most intense peaks (10° ≤ 2θ ≤ 90°), low angle first:
11.01°, I = 100; 32.05°, I = 46; 38.73°, I = 28; 41.46°, I = 9; 50.12°, I = 17; 50.75°, I = 13; 51.49°, I = 12; 60.74°, I = 7